Record 1
The following is a computed X-ray diffraction stick pattern of Nb2Si2Ni. It was derived from a crystal structure in Alexandria, relaxed with GGA-PBE, using Cu Kα.

Principal peaks in the range 2θ from 10° to 90°, most intense first:
hkl, d (Å), Rel. int.
1 1 2, 2.357, 100
0 1 3, 2.307, 42
1 2 1, 2.016, 39
2 1 3, 1.431, 33
1 1 0, 2.967, 27
0 2 0, 2.545, 25
1 2 5, 1.246, 23
2 0 0, 1.825, 22
0 2 2, 2.128, 15
1 0 3, 2.111, 15
2 2 0, 1.484, 13
1 0 1, 3.304, 11

Structure:
```
data_Nb2Si2Ni
_chemical_formula_sum 'Nb4 Si4 Ni2'
_cell_length_a 3.6507
_cell_length_b 5.0896
_cell_length_c 7.7637
_cell_angle_alpha 90.00
_cell_angle_beta 90.00
_cell_angle_gamma 90.00
_space_group_name_H-M_alt 'I m m m'
_space_group_IT_number 71
_space_group_name_Hall '-I 2 2'
loop_
_atom_site_label
_atom_site_type_symbol
_atom_site_fract_x
_atom_site_fract_y
_atom_site_fract_z
Nb1 Nb 0.0000 0.0000 0.2003
Si1 Si 0.0000 0.2653 0.5000
Ni1 Ni 0.0000 0.5000 0.0000
```

---

Record 2
The following is a computed X-ray diffraction stick pattern of KZr4BiO12. It was derived from a crystal structure in Alexandria, relaxed with GGA-PBE, using Cu Kα.

Principal peaks in the range 2θ from 10° to 90°, most intense first:
hkl, d (Å), Rel. int.
1 1 1, 4.743, 100
2 2 0, 2.940, 72
0 2 2, 2.870, 61
2 0 2, 2.905, 58
1 0 0, 8.423, 38
0 1 1, 5.740, 33
4 2 2, 1.698, 30
2 4 2, 1.677, 26
4 0 0, 2.106, 25
2 2 4, 1.657, 23
0 4 0, 2.053, 23
2 1 1, 3.395, 21

Structure:
```
data_KZr4BiO12
_chemical_formula_sum 'K2 Zr8 Bi2 O24'
_cell_length_a 8.4228
_cell_length_b 8.2134
_cell_length_c 8.0238
_cell_angle_alpha 90.00
_cell_angle_beta 90.00
_cell_angle_gamma 90.00
_space_group_name_H-M_alt 'A m m 2'
_space_group_IT_number 38
loop_
_space_group_symop_operation_xyz
'x,y,z'
'-x,-y,z'
'-x,y,z'
'x,-y,z'
'x,y+1/2,z+1/2'
'-x,-y+1/2,z+1/2'
'-x,y+1/2,z+1/2'
'x,-y+1/2,z+1/2'
loop_
_atom_site_label
_atom_site_type_symbol
_atom_site_fract_x
_atom_site_fract_y
_atom_site_fract_z
K1 K 0.0000 0.0000 0.0000
Zr1 Zr 0.2487 0.2395 0.7144
Bi1 Bi 0.5000 0.0000 0.4139
O1 O 0.0000 0.2230 0.7160
O2 O 0.2294 0.2009 0.9680
O3 O 0.2752 0.0000 0.2642
O4 O 0.3308 0.0000 0.6317
O5 O 0.5000 0.2283 0.2872
```

---

Q: Which formula does entry 2 have?
A: KZr4BiO12

---

Copy entry 2 word for word.
The following is a computed X-ray diffraction stick pattern of KZr4BiO12. It was derived from a crystal structure in Alexandria, relaxed with GGA-PBE, using Cu Kα.

Principal peaks in the range 2θ from 10° to 90°, most intense first:
hkl, d (Å), Rel. int.
1 1 1, 4.743, 100
2 2 0, 2.940, 72
0 2 2, 2.870, 61
2 0 2, 2.905, 58
1 0 0, 8.423, 38
0 1 1, 5.740, 33
4 2 2, 1.698, 30
2 4 2, 1.677, 26
4 0 0, 2.106, 25
2 2 4, 1.657, 23
0 4 0, 2.053, 23
2 1 1, 3.395, 21

Structure:
```
data_KZr4BiO12
_chemical_formula_sum 'K2 Zr8 Bi2 O24'
_cell_length_a 8.4228
_cell_length_b 8.2134
_cell_length_c 8.0238
_cell_angle_alpha 90.00
_cell_angle_beta 90.00
_cell_angle_gamma 90.00
_space_group_name_H-M_alt 'A m m 2'
_space_group_IT_number 38
loop_
_space_group_symop_operation_xyz
'x,y,z'
'-x,-y,z'
'-x,y,z'
'x,-y,z'
'x,y+1/2,z+1/2'
'-x,-y+1/2,z+1/2'
'-x,y+1/2,z+1/2'
'x,-y+1/2,z+1/2'
loop_
_atom_site_label
_atom_site_type_symbol
_atom_site_fract_x
_atom_site_fract_y
_atom_site_fract_z
K1 K 0.0000 0.0000 0.0000
Zr1 Zr 0.2487 0.2395 0.7144
Bi1 Bi 0.5000 0.0000 0.4139
O1 O 0.0000 0.2230 0.7160
O2 O 0.2294 0.2009 0.9680
O3 O 0.2752 0.0000 0.2642
O4 O 0.3308 0.0000 0.6317
O5 O 0.5000 0.2283 0.2872
```

---

Q: What is the formula in the first record?
A: Nb2Si2Ni